Starting from a structure optimized by DFT (PBE), the powder XRD pattern of TeOF2 was computed for Cu Ka.

Largest 10 diffraction maxima, by angle, 10 to 90 degrees two-theta:
Position (°2θ)	d/Å	Rel. int.
18.93	4.689	49
19.51	4.550	34
21.39	4.155	20
23.93	3.719	100
26.26	3.394	28
26.49	3.364	57
26.92	3.312	60
36.73	2.447	21
39.02	2.308	18
48.25	1.886	18

Crystal structure
```
TeOF2
1.0
5.4558 0.0000 0.0000
0.0000 8.3655 0.0000
-0.6376 0.0000 5.6614
Te O F
4 4 8
direct
0.0197 0.0000 0.3478
0.3730 0.2632 0.0352
0.6270 0.7632 0.9648
0.9803 0.5000 0.6522
0.1058 0.2057 0.2253
0.1941 0.4582 0.9452
0.8059 0.9582 0.0548
0.8942 0.7057 0.7747
0.1590 0.1834 0.7286
0.2668 0.6174 0.5650
0.3077 0.9220 0.1595
0.4979 0.8989 0.7008
0.5021 0.3989 0.2992
0.6923 0.4220 0.8405
0.7332 0.1174 0.4350
0.8410 0.6834 0.2714
```

=====

Starting from a structure optimized by DFT (PBE), the powder XRD pattern of Ti2Te2O5F5 was computed for Cu Ka.

Largest 10 diffraction maxima, by angle, 10 to 90 degrees two-theta:
Position (°2θ)	d/Å	Rel. int.
14.28	6.202	16
21.18	4.196	61
26.77	3.330	100
34.38	2.608	34
43.12	2.098	13
45.00	2.014	11
47.22	1.925	15
51.49	1.775	22
52.29	1.749	10
55.22	1.664	10

Crystal structure
```
Ti2Te2O5F5
1.0
7.6748 0.0000 0.0000
0.0000 16.7820 0.0000
0.0000 0.0000 6.6742
Ti Te O F
8 8 20 20
direct
0.1123 0.1314 0.2476
0.1123 0.3686 0.2476
0.3877 0.6314 0.7476
0.3877 0.8686 0.7476
0.6123 0.1314 0.2524
0.6123 0.3686 0.2524
0.8877 0.6314 0.7524
0.8877 0.8686 0.7524
0.1393 0.6362 0.2215
0.1393 0.8638 0.2215
0.3607 0.1362 0.7215
0.3607 0.3638 0.7215
0.6393 0.6362 0.2785
0.6393 0.8638 0.2785
0.8607 0.1362 0.7785
0.8607 0.3638 0.7785
0.0513 0.1395 0.9616
0.0513 0.3605 0.9616
0.1479 0.7500 0.2766
0.1726 0.1322 0.5342
0.1726 0.3678 0.5342
0.3274 0.6322 0.0342
0.3274 0.8678 0.0342
0.3521 0.2500 0.7766
0.4487 0.6395 0.4616
0.4487 0.8605 0.4616
0.5513 0.1395 0.5384
0.5513 0.3605 0.5384
0.6479 0.7500 0.2234
0.6726 0.1322 0.9658
0.6726 0.3678 0.9658
0.8274 0.6322 0.4658
0.8274 0.8678 0.4658
0.8521 0.2500 0.7234
0.9487 0.6395 0.0384
0.9487 0.8605 0.0384
0.1107 0.0200 0.2317
0.1107 0.4800 0.2317
0.1148 0.2500 0.2556
0.1371 0.6349 0.6775
0.1371 0.8651 0.6775
0.3629 0.1349 0.1775
0.3629 0.3651 0.1775
0.3852 0.7500 0.7556
0.3893 0.5200 0.7317
0.3893 0.9800 0.7317
0.6107 0.0200 0.2683
0.6107 0.4800 0.2683
0.6148 0.2500 0.2444
0.6371 0.6349 0.8225
0.6371 0.8651 0.8225
0.8629 0.1349 0.3225
0.8629 0.3651 0.3225
0.8852 0.7500 0.7444
0.8893 0.5200 0.7683
0.8893 0.9800 0.7683
```

=====

Starting from a structure optimized by DFT (PBE), the powder XRD pattern of Te4XeO4F20 was computed for Cu Ka.

Largest 10 diffraction maxima, by angle, 10 to 90 degrees two-theta:
Position (°2θ)	d/Å	Rel. int.
18.08	4.907	71
18.35	4.834	58
19.91	4.459	100
20.15	4.407	47
21.04	4.223	32
22.23	3.999	61
24.12	3.690	47
26.03	3.424	55
28.31	3.153	68
39.22	2.297	38

Crystal structure
```
Te4XeO4F20
1.0
5.7110 0.0000 0.0000
-0.1914 8.8451 0.0000
-1.4550 -3.6035 9.8145
Te Xe O F
4 1 4 20
direct
0.2270 0.3926 0.2518
0.2626 0.0996 0.7411
0.7374 0.9004 0.2589
0.7730 0.6074 0.7482
0.0000 0.0000 0.0000
0.2356 0.9667 0.8510
0.2629 0.1698 0.1499
0.7371 0.8302 0.8501
0.7644 0.0333 0.1490
0.0424 0.9693 0.3571
0.0720 0.6144 0.8512
0.0843 0.3354 0.3800
0.1316 0.2708 0.8643
0.1944 0.6072 0.3529
0.3013 0.2289 0.6372
0.3714 0.4645 0.1319
0.3908 0.9311 0.6157
0.4315 0.8237 0.1629
0.4733 0.5985 0.6472
0.5267 0.4015 0.3528
0.5685 0.1763 0.8371
0.6092 0.0689 0.3843
0.6286 0.5355 0.8681
0.6987 0.7711 0.3628
0.8056 0.3928 0.6471
0.8684 0.7292 0.1357
0.9157 0.6646 0.6200
0.9280 0.3856 0.1488
0.9576 0.0307 0.6429
```

=====

Starting from a structure optimized by DFT (PBE), the powder XRD pattern of Th6OF24 was computed for Cu Ka.

Largest 10 diffraction maxima, by angle, 10 to 90 degrees two-theta:
Position (°2θ)	d/Å	Rel. int.
20.22	4.391	70
22.46	3.959	100
24.29	3.665	31
30.04	2.975	29
31.28	2.859	23
41.38	2.182	20
42.99	2.104	18
43.40	2.085	37
44.32	2.044	25
49.04	1.858	17

Crystal structure
```
Th6OF24
1.0
-4.7041 4.7041 5.8458
4.7041 -4.7041 5.8458
4.7041 4.7041 -5.8458
Th O F
6 1 24
direct
0.1733 0.3847 0.5579
0.2205 0.2205 0.0000
0.3847 0.8267 0.2114
0.6153 0.1733 0.7886
0.7795 0.7795 0.0000
0.8267 0.6153 0.4421
0.0000 0.0000 0.0000
0.0343 0.9183 0.7098
0.0817 0.7914 0.1160
0.1097 0.6097 0.5000
0.1452 0.2730 0.7425
0.2086 0.3246 0.2902
0.2325 0.6317 0.8642
0.2730 0.5305 0.1278
0.3246 0.0343 0.1160
0.3683 0.2325 0.6008
0.3903 0.8903 0.5000
0.4027 0.1452 0.8722
0.4695 0.5973 0.7425
0.5305 0.4027 0.2575
0.5973 0.8548 0.1278
0.6097 0.1097 0.5000
0.6317 0.7675 0.3992
0.6754 0.9657 0.8840
0.7270 0.4695 0.8722
0.7675 0.3683 0.1358
0.7914 0.6754 0.7098
0.8548 0.7270 0.2575
0.8903 0.3903 0.5000
0.9183 0.2086 0.8840
0.9657 0.0817 0.2902
```

=====

Starting from a structure optimized by DFT (PBE), the powder XRD pattern of TiOF2 was computed for Cu Ka.

Largest 10 diffraction maxima, by angle, 10 to 90 degrees two-theta:
Position (°2θ)	d/Å	Rel. int.
15.54	5.701	31
18.46	4.806	48
19.68	4.510	23
23.49	3.787	38
24.80	3.590	44
25.33	3.517	55
25.55	3.486	38
26.25	3.396	100
33.96	2.640	18
36.79	2.443	22

Crystal structure
```
TiOF2
1.0
5.2273 0.0000 0.0000
0.0000 8.9359 0.0000
-0.1979 0.0000 5.7006
Ti O F
4 4 8
direct
0.0441 0.0000 0.2931
0.3810 0.2775 0.0199
0.6190 0.7775 0.9801
0.9559 0.5000 0.7069
0.1851 0.1788 0.2277
0.2004 0.4431 0.9206
0.7996 0.9431 0.0794
0.8149 0.6788 0.7723
0.1072 0.5006 0.4319
0.3031 0.8645 0.2714
0.3282 0.8048 0.8076
0.3706 0.1408 0.7902
0.6294 0.6408 0.2098
0.6718 0.3048 0.1924
0.6969 0.3645 0.7286
0.8928 0.0006 0.5681
```